Record 1
Starting from DFT lattice parameters and positions (PBE), the powder diffraction line list of BaCa3Pt was computed for Cu Kα.

Largest 12 diffraction maxima, sorted by position, 2θ from 15° to 90°:
- 2θ 16.40, intensity 81
- 2θ 17.02, intensity 55
- 2θ 18.10, intensity 91
- 2θ 20.83, intensity 33
- 2θ 21.18, intensity 50
- 2θ 24.69, intensity 33
- 2θ 27.76, intensity 51
- 2θ 28.30, intensity 46
- 2θ 28.45, intensity 38
- 2θ 35.93, intensity 58
- 2θ 36.72, intensity 100
- 2θ 44.07, intensity 47

Unit cell a=6.797 b=7.074 c=8.378 alpha=90.00 beta=91.53 gamma=90.00
Space group P2_1 (No. 4)
Asymmetric unit:
Ba 0.007 0.000 0.367 (multiplicity 2)
Ca 0.007 0.001 0.884 (multiplicity 2)
Ca 0.490 0.362 0.360 (multiplicity 2)
Ca 0.498 0.850 0.117 (multiplicity 2)
Pt 0.259 0.186 0.116 (multiplicity 2)

---

Record 2
Starting from DFT lattice parameters and positions (PBE), the powder diffraction line list of Ba3CaPt was computed for Cu Kα.

Largest 12 diffraction maxima, sorted by position, 2θ from 15° to 90°:
- 2θ 16.14, intensity 100
- 2θ 24.46, intensity 76
- 2θ 26.68, intensity 41
- 2θ 28.16, intensity 29
- 2θ 30.12, intensity 58
- 2θ 34.21, intensity 35
- 2θ 34.42, intensity 30
- 2θ 38.51, intensity 20
- 2θ 39.33, intensity 34
- 2θ 44.76, intensity 37
- 2θ 46.13, intensity 23
- 2θ 67.94, intensity 17

Unit cell a=8.430 b=8.430 c=14.424 alpha=90.00 beta=90.00 gamma=90.00
Space group P4_1 (No. 76)
Asymmetric unit:
Ba 0.026 0.308 0.000 (multiplicity 4)
Ba 0.082 0.192 0.474 (multiplicity 4)
Ba 0.333 0.422 0.252 (multiplicity 4)
Ca 0.163 0.470 0.728 (multiplicity 4)
Pt 0.105 0.602 0.117 (multiplicity 4)

---

Record 3
Starting from DFT lattice parameters and positions (PBE), the powder diffraction line list of BaCa3Pt was computed for Cu Kα.

Largest 12 diffraction maxima, sorted by position, 2θ from 15° to 90°:
- 2θ 16.95, intensity 96
- 2θ 21.00, intensity 100
- 2θ 21.73, intensity 47
- 2θ 28.06, intensity 37
- 2θ 28.32, intensity 60
- 2θ 29.04, intensity 32
- 2θ 30.15, intensity 38
- 2θ 36.35, intensity 28
- 2θ 36.56, intensity 70
- 2θ 41.39, intensity 29
- 2θ 43.74, intensity 50
- 2θ 53.88, intensity 30

Unit cell a=7.196 b=6.801 c=8.180 alpha=90.00 beta=90.02 gamma=90.00
Space group P2_1 (No. 4)
Asymmetric unit:
Ba 0.155 0.000 0.250 (multiplicity 2)
Ca 0.179 0.007 0.750 (multiplicity 2)
Ca 0.347 0.508 0.003 (multiplicity 2)
Ca 0.347 0.508 0.497 (multiplicity 2)
Pt 0.487 0.253 0.750 (multiplicity 2)

---

Record 4
Starting from DFT lattice parameters and positions (PBE), the powder diffraction line list of BaCaSn2Pt2 was computed for Cu Kα.

Largest 12 diffraction maxima, sorted by position, 2θ from 15° to 90°:
- 2θ 22.42, intensity 15
- 2θ 24.26, intensity 52
- 2θ 31.24, intensity 87
- 2θ 33.91, intensity 30
- 2θ 37.66, intensity 100
- 2θ 44.27, intensity 16
- 2θ 49.71, intensity 24
- 2θ 51.56, intensity 56
- 2θ 64.00, intensity 22
- 2θ 67.97, intensity 18
- 2θ 71.37, intensity 15
- 2θ 78.17, intensity 17

Unit cell a=4.7773 b=4.7773 c=7.9318 alpha=90.00 beta=90.00 gamma=120.00
Space group P-3m1 (No. 164)
Asymmetric unit:
Ba 0.0000 0.0000 0.0000 (multiplicity 1)
Ca 0.0000 0.0000 0.5000 (multiplicity 1)
Sn 0.3333 0.6667 0.3074 (multiplicity 2)
Pt 0.3333 0.6667 0.6875 (multiplicity 2)

---

Record 5
Starting from DFT lattice parameters and positions (PBE), the powder diffraction line list of Ba3CaRh was computed for Cu Kα.

Largest 12 diffraction maxima, sorted by position, 2θ from 15° to 90°:
- 2θ 16.32, intensity 64
- 2θ 24.74, intensity 100
- 2θ 24.93, intensity 25
- 2θ 27.00, intensity 50
- 2θ 28.48, intensity 20
- 2θ 30.47, intensity 50
- 2θ 34.64, intensity 26
- 2θ 34.82, intensity 25
- 2θ 39.74, intensity 37
- 2θ 43.80, intensity 15
- 2θ 45.35, intensity 31
- 2θ 46.72, intensity 18

Unit cell a=8.327 b=8.327 c=14.286 alpha=90.00 beta=90.00 gamma=90.00
Space group P4_1 (No. 76)
Asymmetric unit:
Ba 0.021 0.314 0.000 (multiplicity 4)
Ba 0.088 0.189 0.478 (multiplicity 4)
Ba 0.330 0.415 0.247 (multiplicity 4)
Ca 0.160 0.473 0.725 (multiplicity 4)
Rh 0.104 0.600 0.116 (multiplicity 4)

---

Record 6
Starting from DFT lattice parameters and positions (PBE), the powder diffraction line list of BaCa2Rh was computed for Cu Kα.

Largest 12 diffraction maxima, sorted by position, 2θ from 15° to 90°:
- 2θ 16.24, intensity 18
- 2θ 18.39, intensity 51
- 2θ 28.52, intensity 27
- 2θ 28.76, intensity 45
- 2θ 30.61, intensity 100
- 2θ 30.91, intensity 26
- 2θ 35.63, intensity 16
- 2θ 40.67, intensity 40
- 2θ 42.44, intensity 18
- 2θ 45.20, intensity 22
- 2θ 56.35, intensity 19
- 2θ 63.73, intensity 16

Unit cell a=4.260 b=13.236 c=9.649 alpha=90.00 beta=90.00 gamma=90.00
Space group Cmcm (No. 63)
Asymmetric unit:
Ba 0.000 0.074 0.250 (multiplicity 4)
Ca 0.000 0.341 0.071 (multiplicity 8)
Rh 0.000 0.247 0.750 (multiplicity 4)

---

Record 7
Starting from DFT lattice parameters and positions (PBE), the powder diffraction line list of BaCa3Rh was computed for Cu Kα.

Largest 12 diffraction maxima, sorted by position, 2θ from 15° to 90°:
- 2θ 18.57, intensity 34
- 2θ 20.42, intensity 64
- 2θ 26.23, intensity 32
- 2θ 26.73, intensity 38
- 2θ 28.15, intensity 57
- 2θ 28.75, intensity 100
- 2θ 29.33, intensity 72
- 2θ 29.86, intensity 36
- 2θ 30.25, intensity 73
- 2θ 38.78, intensity 38
- 2θ 40.77, intensity 36
- 2θ 44.91, intensity 34

Unit cell a=13.455 b=15.355 c=7.374 alpha=90.00 beta=97.41 gamma=90.00
Space group C2/c (No. 15)
Asymmetric unit:
Ba 0.125 0.205 0.112 (multiplicity 8)
Ca 0.116 0.316 0.563 (multiplicity 8)
Ca 0.116 0.456 0.972 (multiplicity 8)
Ca 0.127 0.068 0.641 (multiplicity 8)
Rh 0.000 0.198 0.750 (multiplicity 4)
Rh 0.000 0.399 0.250 (multiplicity 4)

---

Record 8
Starting from DFT lattice parameters and positions (PBE), the powder diffraction line list of BaCa3Rh was computed for Cu Kα.

Largest 12 diffraction maxima, sorted by position, 2θ from 15° to 90°:
- 2θ 19.46, intensity 100
- 2θ 27.97, intensity 48
- 2θ 28.56, intensity 88
- 2θ 29.99, intensity 99
- 2θ 31.21, intensity 55
- 2θ 32.80, intensity 71
- 2θ 36.00, intensity 72
- 2θ 36.55, intensity 77
- 2θ 39.52, intensity 34
- 2θ 46.43, intensity 62
- 2θ 50.39, intensity 37
- 2θ 50.80, intensity 35

Unit cell a=13.191 b=8.585 c=9.121 alpha=90.00 beta=133.72 gamma=90.00
Space group C2 (No. 5)
Asymmetric unit:
Ba 0.198 0.000 0.196 (multiplicity 4)
Ca 0.002 0.261 0.300 (multiplicity 4)
Ca 0.002 0.641 0.201 (multiplicity 4)
Ca 0.200 0.905 0.700 (multiplicity 4)
Rh 0.000 0.357 0.000 (multiplicity 2)
Rh 0.000 0.574 0.500 (multiplicity 2)

---

Record 9
Starting from DFT lattice parameters and positions (PBE), the powder diffraction line list of Ba3CaSn8 was computed for Cu Kα.

Largest 12 diffraction maxima, sorted by position, 2θ from 15° to 90°:
- 2θ 21.62, intensity 43
- 2θ 22.27, intensity 56
- 2θ 26.01, intensity 72
- 2θ 28.98, intensity 26
- 2θ 29.14, intensity 22
- 2θ 33.35, intensity 41
- 2θ 34.07, intensity 100
- 2θ 37.39, intensity 32
- 2θ 46.89, intensity 21
- 2θ 51.26, intensity 21
- 2θ 51.57, intensity 23
- 2θ 55.49, intensity 24

Unit cell a=9.689 b=9.689 c=10.273 alpha=90.00 beta=90.00 gamma=90.00
Space group I-42m (No. 121)
Asymmetric unit:
Ba 0.000 0.000 0.000 (multiplicity 2)
Ba 0.000 0.500 0.250 (multiplicity 4)
Ca 0.000 0.000 0.500 (multiplicity 2)
Sn 0.153 0.153 0.288 (multiplicity 8)
Sn 0.218 0.218 0.582 (multiplicity 8)

---

Record 10
Starting from DFT lattice parameters and positions (PBE), the powder diffraction line list of BaCaSn3 was computed for Cu Kα.

Largest 12 diffraction maxima, sorted by position, 2θ from 15° to 90°:
- 2θ 18.04, intensity 14
- 2θ 25.62, intensity 23
- 2θ 28.74, intensity 100
- 2θ 31.65, intensity 69
- 2θ 36.55, intensity 59
- 2θ 36.67, intensity 24
- 2θ 43.38, intensity 24
- 2θ 49.11, intensity 41
- 2θ 52.65, intensity 21
- 2θ 57.98, intensity 21
- 2θ 61.09, intensity 24
- 2θ 73.77, intensity 15

Unit cell a=4.917 b=4.917 c=13.822 alpha=90.00 beta=90.00 gamma=90.00
Space group P4_2/mmc (No. 131)
Asymmetric unit:
Ba 0.000 0.000 0.250 (multiplicity 2)
Ca 0.000 0.500 0.000 (multiplicity 2)
Sn 0.000 0.500 0.500 (multiplicity 2)
Sn 0.500 0.500 0.146 (multiplicity 4)

---

Record 11
Starting from DFT lattice parameters and positions (PBE), the powder diffraction line list of BaCa3Sn2 was computed for Cu Kα.

Largest 12 diffraction maxima, sorted by position, 2θ from 15° to 90°:
- 2θ 19.96, intensity 17
- 2θ 21.93, intensity 15
- 2θ 22.42, intensity 18
- 2θ 24.61, intensity 55
- 2θ 25.95, intensity 26
- 2θ 27.44, intensity 25
- 2θ 27.58, intensity 100
- 2θ 32.21, intensity 23
- 2θ 34.65, intensity 76
- 2θ 40.36, intensity 15
- 2θ 40.46, intensity 17
- 2θ 48.05, intensity 14

Unit cell a=20.991 b=5.174 c=12.416 alpha=90.00 beta=101.03 gamma=90.00
Space group C2/m (No. 12)
Asymmetric unit:
Ba 0.000 0.000 0.000 (multiplicity 2)
Ba 0.150 0.000 0.697 (multiplicity 4)
Ca 0.000 0.500 0.500 (multiplicity 2)
Ca 0.047 0.000 0.331 (multiplicity 4)
Ca 0.120 0.500 0.205 (multiplicity 4)
Ca 0.180 0.500 0.958 (multiplicity 4)
Ca 0.217 0.000 0.391 (multiplicity 4)
Sn 0.038 0.500 0.788 (multiplicity 4)
Sn 0.143 0.500 0.466 (multiplicity 4)
Sn 0.184 0.000 0.125 (multiplicity 4)

---

Record 12
Starting from DFT lattice parameters and positions (PBE), the powder diffraction line list of BaCaSn2 was computed for Cu Kα.

Largest 12 diffraction maxima, sorted by position, 2θ from 15° to 90°:
- 2θ 25.58, intensity 33
- 2θ 28.23, intensity 89
- 2θ 29.84, intensity 100
- 2θ 34.12, intensity 40
- 2θ 35.05, intensity 21
- 2θ 36.50, intensity 27
- 2θ 38.02, intensity 26
- 2θ 43.90, intensity 15
- 2θ 52.00, intensity 21
- 2θ 58.46, intensity 15
- 2θ 62.00, intensity 15
- 2θ 67.64, intensity 17

Unit cell a=7.548 b=5.255 c=13.939 alpha=90.00 beta=90.00 gamma=90.00
Space group Pnma (No. 62)
Asymmetric unit:
Ba 0.249 0.250 0.192 (multiplicity 4)
Ca 0.250 0.250 0.468 (multiplicity 4)
Sn 0.055 0.750 0.357 (multiplicity 4)
Sn 0.056 0.250 0.857 (multiplicity 4)

---

Which formula does entry 3 have?
BaCa3Pt